# 1
Simulated powder XRD pattern of HoEr4Ni4 for copper Kα, from a structure optimized by DFT (PBE).
Intensities are scaled so that the largest is 100.

Peak list (6 most intense, 10° ≤ 2θ ≤ 90°, in order of rising 2θ)
2theta, d_spacing, I_rel
28.53, 3.129, 76.9
33.43, 2.681, 100.0
34.04, 2.634, 55.8
47.99, 1.896, 32.5
50.94, 1.793, 24.7
56.79, 1.621, 24.5

Structural model:
a = 8.477 Å, b = 8.477 Å, c = 5.540 Å
α = 90.00°, β = 90.00°, γ = 90.00°
Element x y z (fractional)
Ho 0.250 0.250 0.250
Ho 0.750 0.750 0.750
Er 0.067 0.664 0.149
Er 0.164 0.933 0.649
Er 0.336 0.567 0.649
Er 0.433 0.836 0.149
Er 0.567 0.164 0.851
Er 0.664 0.433 0.351
Er 0.836 0.067 0.351
Er 0.933 0.336 0.851
Ni 0.025 0.617 0.637
Ni 0.117 0.975 0.137
Ni 0.383 0.525 0.137
Ni 0.475 0.883 0.637
Ni 0.525 0.117 0.363
Ni 0.617 0.475 0.863
Ni 0.883 0.025 0.863
Ni 0.975 0.383 0.363

***

# 2
Simulated powder XRD pattern of Ho3Er3Ni4 for copper Kα, from a structure optimized by DFT (PBE).
Intensities are scaled so that the largest is 100.

Peak list (6 most intense, 10° ≤ 2θ ≤ 90°, in order of rising 2θ)
2theta, d_spacing, I_rel
26.78, 3.328, 21.8
28.64, 3.117, 25.2
33.41, 2.682, 52.6
35.58, 2.523, 100.0
38.24, 2.354, 55.3
62.12, 1.494, 26.5

Structural model:
a = 3.868 Å, b = 7.443 Å, c = 7.443 Å
α = 89.97°, β = 90.00°, γ = 90.00°
Element x y z (fractional)
Ho 0.000 0.000 0.000
Ho 0.500 0.336 0.836
Ho 0.500 0.836 0.336
Er 0.000 0.171 0.500
Er 0.000 0.500 0.171
Er 0.000 0.670 0.670
Ni 0.500 0.212 0.212
Ni 0.500 0.460 0.460
Ni 0.500 0.710 0.960
Ni 0.500 0.960 0.710

***

# 3
Simulated powder XRD pattern of HoEr3Ni8 for copper Kα, from a structure optimized by DFT (PBE).
Intensities are scaled so that the largest is 100.

Peak list (6 most intense, 10° ≤ 2θ ≤ 90°, in order of rising 2θ)
2theta, d_spacing, I_rel
21.59, 4.116, 14.2
35.62, 2.521, 65.2
42.03, 2.150, 100.0
64.01, 1.455, 17.9
68.39, 1.372, 22.8
75.33, 1.262, 11.2

Structural model:
a = 8.746 Å, b = 8.746 Å, c = 8.746 Å
α = 33.47°, β = 33.47°, γ = 33.47°
Element x y z (fractional)
Ho 0.000 0.000 0.000
Er 0.125 0.125 0.125
Er 0.500 0.500 0.500
Er 0.625 0.625 0.625
Ni 0.062 0.062 0.562
Ni 0.062 0.562 0.062
Ni 0.063 0.563 0.563
Ni 0.312 0.312 0.312
Ni 0.562 0.062 0.062
Ni 0.563 0.063 0.563
Ni 0.563 0.563 0.063
Ni 0.812 0.812 0.812

***

# 4
Simulated powder XRD pattern of Ho3Er2Ni4 for copper Kα, from a structure optimized by DFT (PBE).
Intensities are scaled so that the largest is 100.

Peak list (6 most intense, 10° ≤ 2θ ≤ 90°, in order of rising 2θ)
2theta, d_spacing, I_rel
32.67, 2.741, 46.7
33.64, 2.664, 79.9
35.37, 2.537, 100.0
35.77, 2.510, 66.2
38.32, 2.349, 63.3
39.60, 2.276, 69.0

Structural model:
a = 7.314 Å, b = 7.199 Å, c = 7.465 Å
α = 90.00°, β = 106.71°, γ = 90.00°
Element x y z (fractional)
Ho 0.000 0.000 0.000
Ho 0.000 0.500 0.500
Ho 0.265 0.171 0.749
Ho 0.265 0.329 0.249
Ho 0.735 0.671 0.751
Ho 0.735 0.829 0.251
Er 0.299 0.680 0.904
Er 0.299 0.820 0.404
Er 0.701 0.180 0.596
Er 0.701 0.320 0.096
Ni 0.001 0.619 0.117
Ni 0.001 0.881 0.617
Ni 0.410 0.027 0.118
Ni 0.410 0.473 0.618
Ni 0.590 0.527 0.382
Ni 0.590 0.973 0.882
Ni 0.999 0.119 0.383
Ni 0.999 0.381 0.883

***

# 5
Simulated powder XRD pattern of HoErO4 for copper Kα, from a structure optimized by DFT (PBE).
Intensities are scaled so that the largest is 100.

Peak list (6 most intense, 10° ≤ 2θ ≤ 90°, in order of rising 2θ)
2theta, d_spacing, I_rel
26.33, 3.384, 30.6
29.15, 3.064, 46.7
30.53, 2.928, 100.0
31.50, 2.840, 33.2
31.86, 2.809, 36.9
47.20, 1.926, 32.2

Structural model:
a = 3.872 Å, b = 3.872 Å, c = 6.161 Å
α = 95.26°, β = 95.26°, γ = 57.01°
Element x y z (fractional)
Ho 0.000 0.000 0.000
Er 0.636 0.636 0.544
O 0.224 0.224 0.326
O 0.412 0.412 0.221
O 0.671 0.671 0.916
O 0.965 0.965 0.625

***

# 6
Simulated powder XRD pattern of Pr2HoErO6 for copper Kα, from a structure optimized by DFT (PBE).
Intensities are scaled so that the largest is 100.

Peak list (6 most intense, 10° ≤ 2θ ≤ 90°, in order of rising 2θ)
2theta, d_spacing, I_rel
29.15, 3.063, 100.0
29.97, 2.981, 95.9
42.30, 2.136, 43.5
47.03, 1.932, 21.0
52.71, 1.737, 42.5
53.22, 1.721, 27.2

Structural model:
a = 6.131 Å, b = 6.131 Å, c = 6.131 Å
α = 58.18°, β = 58.18°, γ = 58.18°
Element x y z (fractional)
Pr 0.000 0.000 0.000
Pr 0.500 0.500 0.500
Ho 0.223 0.223 0.223
Er 0.722 0.722 0.722
O 0.088 0.426 0.848
O 0.349 0.925 0.589
O 0.426 0.848 0.088
O 0.589 0.349 0.925
O 0.848 0.088 0.426
O 0.925 0.589 0.349

***

# 7
Simulated powder XRD pattern of Ho2ErP3 for copper Kα, from a structure optimized by DFT (PBE).
Intensities are scaled so that the largest is 100.

Peak list (6 most intense, 10° ≤ 2θ ≤ 90°, in order of rising 2θ)
2theta, d_spacing, I_rel
27.45, 3.250, 88.9
31.80, 2.814, 100.0
45.57, 1.990, 60.9
54.04, 1.697, 43.2
75.51, 1.259, 16.5
75.58, 1.258, 16.4

Structural model:
a = 7.951 Å, b = 5.627 Å, c = 11.957 Å
α = 90.00°, β = 90.00°, γ = 90.00°
Element x y z (fractional)
Ho 0.125 0.250 0.083
Ho 0.125 0.250 0.750
Ho 0.375 0.750 0.250
Ho 0.375 0.750 0.583
Ho 0.625 0.250 0.417
Ho 0.625 0.250 0.750
Ho 0.875 0.750 0.250
Ho 0.875 0.750 0.917
Er 0.125 0.250 0.417
Er 0.375 0.750 0.917
Er 0.625 0.250 0.083
Er 0.875 0.750 0.583
P 0.124 0.750 0.417
P 0.125 0.750 0.750
P 0.126 0.750 0.083
P 0.374 0.250 0.583
P 0.375 0.250 0.250
P 0.376 0.250 0.917
P 0.624 0.750 0.083
P 0.625 0.750 0.750
P 0.626 0.750 0.417
P 0.874 0.250 0.917
P 0.875 0.250 0.250
P 0.876 0.250 0.583

***

# 8
Simulated powder XRD pattern of PmHoEr2P4 for copper Kα, from a structure optimized by DFT (PBE).
Intensities are scaled so that the largest is 100.

Peak list (6 most intense, 10° ≤ 2θ ≤ 90°, in order of rising 2θ)
2theta, d_spacing, I_rel
27.20, 3.278, 87.3
31.51, 2.839, 100.0
45.17, 2.007, 73.1
53.53, 1.712, 42.7
56.11, 1.639, 25.5
74.77, 1.270, 32.8

Structural model:
a = 6.952 Å, b = 4.017 Å, c = 6.953 Å
α = 90.00°, β = 109.47°, γ = 90.00°
Element x y z (fractional)
Pm 0.000 0.000 0.000
Ho 0.000 0.500 0.500
Er 0.500 0.000 0.500
Er 0.500 0.500 0.000
P 0.254 0.000 0.747
P 0.257 0.500 0.256
P 0.743 0.500 0.744
P 0.746 0.000 0.253

***

> Number 3 is which compound?

HoEr3Ni8